Record 1
Simulated powder diffractogram of Nd4TeAsS2 for a wavelength of 1.5418 Å, from a structure optimized by DFT (GGA-PBE).
Kinematic intensities with the Lorentz-polarization factor, no thermal factor.

The 10 most intense peaks (5° ≤ 2θ ≤ 70°), in order of rising 2θ:
| 2θ (°) | d (Å) | I_rel |
| --- | --- | --- |
| 25.48 | 3.495 | 5.9 |
| 25.93 | 3.436 | 12.6 |
| 29.84 | 2.994 | 100.0 |
| 42.29 | 2.137 | 11.3 |
| 42.55 | 2.125 | 24.2 |
| 42.87 | 2.110 | 23.6 |
| 43.12 | 2.098 | 12.5 |
| 52.35 | 1.748 | 5.8 |
| 53.32 | 1.718 | 12.9 |
| 61.99 | 1.497 | 10.8 |

Cell and atoms:
Unit cell a=7.3220 b=4.1957 c=7.3918 alpha=90.00 beta=108.96 gamma=90.00
Atoms (fractional coordinates):
Nd  0.2224  0.0000  0.2228
Nd  0.2372  0.5000  0.7623
Nd  0.7628  0.5000  0.2377
Nd  0.7776  0.0000  0.7772
Te  0.5000  0.5000  0.5000
As  0.5000  0.0000  0.0000
S  0.0000  0.0000  0.5000
S  0.0000  0.5000  0.0000

---

Record 2
Simulated powder diffractogram of Bi2HRh3 for a wavelength of 1.5418 Å, from a structure optimized by DFT (GGA-PBE).
Kinematic intensities with the Lorentz-polarization factor, no thermal factor.

The 10 most intense peaks (5° ≤ 2θ ≤ 70°), in order of rising 2θ:
| 2θ (°) | d (Å) | I_rel |
| --- | --- | --- |
| 31.42 | 2.848 | 31.3 |
| 32.20 | 2.780 | 100.0 |
| 35.50 | 2.529 | 31.6 |
| 35.98 | 2.496 | 39.3 |
| 41.67 | 2.167 | 25.7 |
| 42.44 | 2.130 | 15.1 |
| 43.05 | 2.101 | 31.4 |
| 45.86 | 1.979 | 19.4 |
| 48.05 | 1.893 | 15.8 |
| 57.43 | 1.605 | 15.1 |

Cell and atoms:
Unit cell a=6.4251 b=6.4251 c=5.5580 alpha=90.00 beta=90.00 gamma=62.14
Atoms (fractional coordinates):
Bi  0.0180  0.3110  0.0000
Bi  0.3110  0.0180  0.5000
Bi  0.6890  0.9820  0.0000
Bi  0.9820  0.6890  0.5000
H  0.4441  0.5559  0.0251
H  0.5559  0.4441  0.5251
Rh  0.1610  0.8390  0.0719
Rh  0.3560  0.3923  0.7745
Rh  0.3923  0.3560  0.2745
Rh  0.6077  0.6440  0.7745
Rh  0.6440  0.6077  0.2745
Rh  0.8390  0.1610  0.5719

---

Record 3
Simulated powder diffractogram of B8P for a wavelength of 1.5418 Å, from a structure optimized by DFT (GGA-PBE).
Kinematic intensities with the Lorentz-polarization factor, no thermal factor.

The 10 most intense peaks (5° ≤ 2θ ≤ 70°), in order of rising 2θ:
| 2θ (°) | d (Å) | I_rel |
| --- | --- | --- |
| 9.43 | 9.381 | 45.6 |
| 18.65 | 4.759 | 21.9 |
| 22.26 | 3.994 | 27.5 |
| 22.82 | 3.897 | 79.3 |
| 22.98 | 3.871 | 39.1 |
| 30.36 | 2.944 | 29.1 |
| 34.71 | 2.584 | 100.0 |
| 35.85 | 2.505 | 94.0 |
| 36.12 | 2.487 | 47.3 |
| 55.50 | 1.656 | 22.0 |

Cell and atoms:
Unit cell a=5.2490 b=5.2490 c=10.1771 alpha=108.66 beta=108.66 gamma=68.72
Atoms (fractional coordinates):
B  0.0000  0.0000  0.0000
B  0.1280  0.4504  0.6287
B  0.1333  0.1333  0.3045
B  0.1486  0.6815  0.0511
B  0.1916  0.6608  0.5448
B  0.2338  0.7658  0.2369
B  0.2694  0.7405  0.7295
B  0.2894  0.2894  0.4724
B  0.2888  0.9755  0.1481
B  0.4182  0.4182  0.7795
B  0.4504  0.1280  0.6287
B  0.4812  0.7969  0.6436
B  0.5075  0.5075  0.4943
B  0.6265  0.9391  0.1421
B  0.6369  0.6369  0.8040
B  0.6608  0.1916  0.5448
B  0.6815  0.1486  0.0511
B  0.7405  0.2694  0.7295
B  0.7658  0.2338  0.2369
B  0.7832  0.7832  0.9801
B  0.7969  0.4812  0.6436
B  0.9205  0.9205  0.2922
B  0.9391  0.6265  0.1421
B  0.9755  0.2888  0.1481
P  0.0687  0.0687  0.8434
P  0.3504  0.3504  0.9381
P  0.5707  0.5707  0.3403

---

Record 4
Simulated powder diffractogram of Ti2ReGe4 for a wavelength of 1.5418 Å, from a structure optimized by DFT (GGA-PBE).
Kinematic intensities with the Lorentz-polarization factor, no thermal factor.

The 10 most intense peaks (5° ≤ 2θ ≤ 70°), in order of rising 2θ:
| 2θ (°) | d (Å) | I_rel |
| --- | --- | --- |
| 13.94 | 6.351 | 99.1 |
| 19.85 | 4.472 | 68.1 |
| 26.38 | 3.379 | 59.5 |
| 28.12 | 3.174 | 39.0 |
| 37.65 | 2.389 | 100.0 |
| 40.20 | 2.243 | 90.8 |
| 40.34 | 2.236 | 28.8 |
| 47.64 | 1.909 | 32.9 |
| 54.31 | 1.689 | 33.9 |
| 56.26 | 1.635 | 66.4 |

Cell and atoms:
Unit cell a=4.7780 b=4.7780 c=12.7021 alpha=90.00 beta=90.00 gamma=90.00
Atoms (fractional coordinates):
Ti  0.0000  0.0000  0.1008
Ti  0.0000  0.0000  0.8992
Ti  0.5000  0.5000  0.3992
Ti  0.5000  0.5000  0.6008
Re  0.0000  0.0000  0.5000
Re  0.5000  0.5000  0.0000
Ge  0.0000  0.0000  0.3011
Ge  0.0000  0.0000  0.6989
Ge  0.0000  0.5000  0.0000
Ge  0.0000  0.5000  0.5000
Ge  0.5000  0.0000  0.0000
Ge  0.5000  0.0000  0.5000
Ge  0.5000  0.5000  0.1989
Ge  0.5000  0.5000  0.8011

---

Record 5
Simulated powder diffractogram of Cu2IrO5 for a wavelength of 1.5418 Å, from a structure optimized by DFT (GGA-PBE).
Kinematic intensities with the Lorentz-polarization factor, no thermal factor.

The 10 most intense peaks (5° ≤ 2θ ≤ 70°), in order of rising 2θ:
| 2θ (°) | d (Å) | I_rel |
| --- | --- | --- |
| 19.11 | 4.644 | 47.5 |
| 19.59 | 4.531 | 92.3 |
| 26.91 | 3.313 | 77.9 |
| 30.23 | 2.956 | 100.0 |
| 33.13 | 2.704 | 57.9 |
| 34.00 | 2.637 | 99.0 |
| 36.58 | 2.456 | 72.8 |
| 38.81 | 2.320 | 49.5 |
| 43.19 | 2.095 | 39.9 |
| 55.49 | 1.656 | 42.0 |

Cell and atoms:
Unit cell a=5.5940 b=5.5940 c=7.0628 alpha=109.41 beta=109.41 gamma=57.81
Atoms (fractional coordinates):
Cu  0.1030  0.1569  0.2204
Cu  0.1569  0.1030  0.7204
Cu  0.8431  0.8970  0.2796
Cu  0.8970  0.8431  0.7796
Ir  0.5000  0.5000  0.0000
Ir  0.5000  0.5000  0.5000
O  0.0908  0.7617  0.5494
O  0.1749  0.4428  0.8559
O  0.2383  0.9092  0.9506
O  0.3396  0.6604  0.2500
O  0.4428  0.1749  0.3559
O  0.5572  0.8251  0.6441
O  0.6604  0.3396  0.7500
O  0.7617  0.0908  0.0494
O  0.8251  0.5572  0.1441
O  0.9092  0.2383  0.4506

---

Record 6
Simulated powder diffractogram of YSb2F8 for a wavelength of 1.5418 Å, from a structure optimized by DFT (GGA-PBE).
Kinematic intensities with the Lorentz-polarization factor, no thermal factor.

The 10 most intense peaks (5° ≤ 2θ ≤ 70°), in order of rising 2θ:
| 2θ (°) | d (Å) | I_rel |
| --- | --- | --- |
| 13.60 | 6.513 | 59.2 |
| 21.18 | 4.194 | 100.0 |
| 25.08 | 3.551 | 89.4 |
| 25.24 | 3.528 | 87.7 |
| 25.57 | 3.484 | 42.3 |
| 25.68 | 3.469 | 40.7 |
| 30.82 | 2.902 | 56.6 |
| 39.19 | 2.299 | 38.1 |
| 43.99 | 2.058 | 30.6 |
| 51.64 | 1.770 | 33.6 |

Cell and atoms:
Unit cell a=4.9996 b=5.8034 c=7.1564 alpha=113.59 beta=95.99 gamma=90.56
Atoms (fractional coordinates):
Y  0.0000  0.0000  0.0000
Sb  0.3326  0.7182  0.4377
Sb  0.6674  0.2818  0.5623
F  0.0624  0.2857  0.5660
F  0.2307  0.8199  0.1795
F  0.2329  0.3605  0.1779
F  0.2803  0.8841  0.7670
F  0.7197  0.1159  0.2330
F  0.7671  0.6395  0.8221
F  0.7693  0.1801  0.8205
F  0.9376  0.7143  0.4340

---

Record 7
Simulated powder diffractogram of DyB3H12 for a wavelength of 1.5418 Å, from a structure optimized by DFT (GGA-PBE).
Kinematic intensities with the Lorentz-polarization factor, no thermal factor.

The 10 most intense peaks (5° ≤ 2θ ≤ 70°), in order of rising 2θ:
| 2θ (°) | d (Å) | I_rel |
| --- | --- | --- |
| 16.21 | 5.469 | 100.0 |
| 23.00 | 3.867 | 60.4 |
| 28.29 | 3.154 | 13.9 |
| 32.75 | 2.735 | 20.3 |
| 36.74 | 2.446 | 47.3 |
| 40.29 | 2.239 | 7.8 |
| 40.43 | 2.231 | 23.3 |
| 50.07 | 1.822 | 20.3 |
| 55.79 | 1.648 | 7.8 |
| 63.69 | 1.461 | 8.3 |

Cell and atoms:
Unit cell a=7.7467 b=7.7467 c=7.7467 alpha=59.79 beta=59.79 gamma=59.79
Atoms (fractional coordinates):
Dy  0.0000  0.0000  0.0000
Dy  0.5000  0.5000  0.5000
B  0.2473  0.7500  0.2527
B  0.2500  0.7473  0.7527
B  0.2527  0.2473  0.7500
B  0.7473  0.7527  0.2500
B  0.7500  0.2527  0.2473
B  0.7527  0.2500  0.7473
H  0.0907  0.9056  0.2846
H  0.0944  0.7154  0.9093
H  0.0977  0.2805  0.7163
H  0.2154  0.5944  0.4093
H  0.2163  0.7805  0.5977
H  0.2195  0.4023  0.7837
H  0.2805  0.7163  0.0977
H  0.2837  0.9023  0.7195
H  0.2846  0.0907  0.9056
H  0.4023  0.7837  0.2195
H  0.4056  0.5907  0.7846
H  0.4093  0.2154  0.5944
H  0.5907  0.7846  0.4056
H  0.5944  0.4093  0.2154
H  0.5977  0.2163  0.7805
H  0.7154  0.9093  0.0944
H  0.7163  0.0977  0.2805
H  0.7195  0.2837  0.9023
H  0.7805  0.5977  0.2163
H  0.7837  0.2195  0.4023
H  0.7846  0.4056  0.5907
H  0.9023  0.7195  0.2837
H  0.9056  0.2846  0.0907
H  0.9093  0.0944  0.7154

---

Record 8
Simulated powder diffractogram of AcErNi4 for a wavelength of 1.5418 Å, from a structure optimized by DFT (GGA-PBE).
Kinematic intensities with the Lorentz-polarization factor, no thermal factor.

The 10 most intense peaks (5° ≤ 2θ ≤ 70°), in order of rising 2θ:
| 2θ (°) | d (Å) | I_rel |
| --- | --- | --- |
| 22.35 | 3.979 | 19.8 |
| 28.63 | 3.118 | 25.7 |
| 34.73 | 2.583 | 67.0 |
| 36.95 | 2.433 | 100.0 |
| 40.31 | 2.237 | 15.2 |
| 40.62 | 2.221 | 82.1 |
| 41.69 | 2.167 | 51.1 |
| 63.71 | 1.461 | 42.0 |
| 66.25 | 1.411 | 18.9 |
| 68.31 | 1.373 | 20.7 |

Cell and atoms:
Unit cell a=5.1666 b=5.1666 c=8.6963 alpha=90.00 beta=90.00 gamma=120.00
Atoms (fractional coordinates):
Ac  0.3333  0.6667  0.0829
Ac  0.6667  0.3333  0.9171
Er  0.3333  0.6667  0.4508
Er  0.6667  0.3333  0.5492
Ni  0.0000  0.0000  0.0000
Ni  0.0000  0.0000  0.5000
Ni  0.1645  0.3291  0.7317
Ni  0.1645  0.8355  0.7317
Ni  0.3291  0.1645  0.2683
Ni  0.6709  0.8355  0.7317
Ni  0.8355  0.1645  0.2683
Ni  0.8355  0.6709  0.2683

---

Record 9
Simulated powder diffractogram of PbBr4Cl for a wavelength of 1.5418 Å, from a structure optimized by DFT (GGA-PBE).
Kinematic intensities with the Lorentz-polarization factor, no thermal factor.

The 10 most intense peaks (5° ≤ 2θ ≤ 70°), in order of rising 2θ:
| 2θ (°) | d (Å) | I_rel |
| --- | --- | --- |
| 17.53 | 5.059 | 17.3 |
| 20.27 | 4.381 | 19.1 |
| 28.82 | 3.098 | 35.2 |
| 33.93 | 2.642 | 100.0 |
| 35.49 | 2.529 | 31.9 |
| 46.34 | 1.959 | 9.9 |
| 51.06 | 1.789 | 14.4 |
| 54.41 | 1.686 | 34.4 |
| 59.69 | 1.549 | 24.6 |
| 67.62 | 1.385 | 6.3 |

Cell and atoms:
Unit cell a=6.1960 b=6.1960 c=6.1960 alpha=60.00 beta=60.00 gamma=60.00
Atoms (fractional coordinates):
Pb  0.0000  0.0000  0.0000
Br  0.1254  0.6249  0.6249
Br  0.6249  0.1254  0.6249
Br  0.6249  0.6249  0.1254
Br  0.6249  0.6249  0.6249
Cl  0.2500  0.2500  0.2500

---

Record 10
Simulated powder diffractogram of TaNbRu6 for a wavelength of 1.5418 Å, from a structure optimized by DFT (GGA-PBE).
Kinematic intensities with the Lorentz-polarization factor, no thermal factor.

The 10 most intense peaks (5° ≤ 2θ ≤ 70°), in order of rising 2θ:
| 2θ (°) | d (Å) | I_rel |
| --- | --- | --- |
| 30.10 | 2.969 | 8.0 |
| 31.55 | 2.835 | 7.2 |
| 37.49 | 2.399 | 21.6 |
| 40.27 | 2.240 | 34.2 |
| 42.17 | 2.143 | 100.0 |
| 43.53 | 2.079 | 23.5 |
| 44.17 | 2.050 | 4.3 |
| 56.18 | 1.637 | 13.2 |
| 63.12 | 1.473 | 4.1 |
| 65.90 | 1.417 | 7.5 |

Cell and atoms:
Unit cell a=6.5506 b=6.5506 c=6.5642 alpha=91.97 beta=91.97 gamma=119.86
Atoms (fractional coordinates):
Ta  0.0000  0.5000  0.0000
Ta  0.5000  0.0000  0.0000
Nb  0.0000  0.5000  0.5000
Nb  0.5000  0.0000  0.5000
Ru  0.0829  0.8513  0.7839
Ru  0.1487  0.9171  0.2161
Ru  0.2064  0.2064  0.5433
Ru  0.2939  0.2939  0.9555
Ru  0.3503  0.5814  0.2834
Ru  0.4186  0.6497  0.7166
Ru  0.5814  0.3503  0.2834
Ru  0.6497  0.4186  0.7166
Ru  0.7061  0.7061  0.0445
Ru  0.7936  0.7936  0.4567
Ru  0.8513  0.0829  0.7839
Ru  0.9171  0.1487  0.2161